Entry 1:
Starting from a crystal structure in the Materials Project, relaxed with GGA+U, the powder XRD pattern of LiFe8O14F2 was computed for CuKα.

Unit cell a=4.7116 b=4.7270 c=11.8960 alpha=89.92 beta=89.68 gamma=89.70
Sites, in units of the cell vectors:
Li 0.0000 0.0000 0.0000
Fe 0.0245 0.4915 0.3756
Fe 0.0295 0.4932 0.1330
Fe 0.0319 0.4914 0.8648
Fe 0.0537 0.5196 0.6223
Fe 0.4958 0.0305 0.9994
Fe 0.5237 0.9883 0.7534
Fe 0.5237 0.9918 0.2484
Fe 0.5255 0.9911 0.4935
O 0.2102 0.3354 0.0003
O 0.2239 0.3072 0.2544
O 0.2262 0.3126 0.4989
O 0.2411 0.3172 0.7423
O 0.2938 0.8369 0.8834
O 0.2974 0.8342 0.1181
O 0.3304 0.8023 0.3709
O 0.3475 0.8196 0.6210
O 0.7222 0.1792 0.3736
O 0.7269 0.1706 0.1188
O 0.7322 0.1717 0.8815
O 0.8232 0.6767 0.2516
O 0.8331 0.6858 0.7448
O 0.8403 0.6831 0.4992
F 0.7391 0.1886 0.6231
F 0.7928 0.6738 0.9998

The 10 most intense peaks (10 to 90 degrees two-theta), most intense first:
- 26.6°, rel. 100
- 26.8°, rel. 98
- 35.6°, rel. 73
- 53.2°, rel. 55
- 53.0°, rel. 29
- 35.8°, rel. 26
- 67.3°, rel. 20
- 62.4°, rel. 19
- 54.9°, rel. 17
- 53.5°, rel. 16

***

Entry 2:
Starting from a crystal structure in the Materials Project, relaxed with GGA+U, the powder XRD pattern of Li3FeOF3 was computed for CuKα.

Unit cell a=5.1606 b=5.1606 c=10.3646 alpha=99.72 beta=99.72 gamma=33.58
Sites, in units of the cell vectors:
Li 0.0000 0.0000 0.0000
Li 0.0000 0.0000 0.5000
Li 0.2471 0.2471 0.3847
Li 0.4989 0.4989 0.7510
Li 0.5011 0.5011 0.2490
Li 0.7529 0.7529 0.6153
Fe 0.2392 0.2392 0.8821
Fe 0.7608 0.7608 0.1179
O 0.3767 0.3767 0.0678
O 0.6233 0.6233 0.9322
F 0.1209 0.1209 0.6759
F 0.1266 0.1266 0.2048
F 0.3710 0.3710 0.5611
F 0.6290 0.6290 0.4389
F 0.8734 0.8734 0.7952
F 0.8791 0.8791 0.3241

The 10 most intense peaks (10 to 90 degrees two-theta), most intense first:
- 42.9°, rel. 100
- 18.2°, rel. 44
- 18.8°, rel. 26
- 35.2°, rel. 24
- 62.3°, rel. 18
- 62.2°, rel. 17
- 62.1°, rel. 17
- 21.6°, rel. 13
- 42.4°, rel. 10
- 33.1°, rel. 10

***

Entry 3:
Starting from a crystal structure in the Materials Project, relaxed with GGA+U, the powder XRD pattern of LiFe8O8F8 was computed for CuKα.

Unit cell a=4.9036 b=4.9489 c=12.0972 alpha=89.08 beta=89.59 gamma=89.45
Sites, in units of the cell vectors:
Li 0.0000 0.0000 0.0000
Fe 0.0452 0.4361 0.6706
Fe 0.0698 0.4677 0.1774
Fe 0.4854 0.9458 0.0547
Fe 0.5509 0.0354 0.5481
Fe 0.5530 0.0355 0.7980
Fe 0.5606 0.0511 0.2982
Fe 0.9546 0.5360 0.4233
Fe 0.9736 0.5320 0.9169
O 0.1774 0.6703 0.0429
O 0.3324 0.1806 0.1775
O 0.3385 0.1735 0.6736
O 0.6981 0.8336 0.4248
O 0.7141 0.8275 0.9196
O 0.8251 0.3179 0.7986
O 0.8283 0.3169 0.5485
O 0.8359 0.3288 0.2977
F 0.2032 0.6872 0.5489
F 0.2160 0.6791 0.7937
F 0.2176 0.6920 0.3025
F 0.2849 0.1789 0.9178
F 0.3299 0.2140 0.4249
F 0.7281 0.8141 0.6740
F 0.7390 0.8071 0.1843
F 0.8162 0.2990 0.0482

The 10 most intense peaks (10 to 90 degrees two-theta), most intense first:
- 25.5°, rel. 100
- 25.7°, rel. 93
- 51.6°, rel. 47
- 35.0°, rel. 44
- 34.7°, rel. 24
- 39.7°, rel. 23
- 34.5°, rel. 21
- 61.3°, rel. 17
- 50.9°, rel. 14
- 52.3°, rel. 13

***

Entry 4:
Starting from a crystal structure in the Materials Project, relaxed with GGA+U, the powder XRD pattern of Li6Fe2O5F2 was computed for CuKα.

Unit cell a=5.9169 b=5.9174 c=9.9699 alpha=93.20 beta=97.06 gamma=118.91
Sites, in units of the cell vectors:
Li 0.0851 0.1641 0.1113
Li 0.0863 0.4268 0.6071
Li 0.3647 0.0249 0.3935
Li 0.3694 0.8171 0.9012
Li 0.3736 0.2915 0.9079
Li 0.3774 0.5808 0.4176
Li 0.6226 0.4192 0.5824
Li 0.6264 0.7085 0.0921
Li 0.6306 0.1829 0.0988
Li 0.6353 0.9751 0.6065
Li 0.9137 0.5732 0.3929
Li 0.9149 0.8359 0.8887
Fe 0.1097 0.7087 0.1147
Fe 0.1186 0.9538 0.6188
Fe 0.8814 0.0462 0.3812
Fe 0.8903 0.2913 0.8853
O 0.0096 0.1342 0.7493
O 0.2358 0.5035 0.0039
O 0.2384 0.2399 0.4984
O 0.2550 0.7632 0.5285
O 0.2600 0.0051 0.0208
O 0.7400 0.9949 0.9792
O 0.7450 0.2368 0.4715
O 0.7616 0.7601 0.5016
O 0.7642 0.4965 0.9961
O 0.9904 0.8658 0.2507
F 0.0066 0.6355 0.7543
F 0.4837 0.8317 0.2533
F 0.5163 0.1683 0.7467
F 0.9934 0.3645 0.2457

The 10 most intense peaks (10 to 90 degrees two-theta), most intense first:
- 17.4°, rel. 100
- 18.4°, rel. 58
- 41.8°, rel. 52
- 42.7°, rel. 52
- 19.3°, rel. 46
- 44.2°, rel. 46
- 24.7°, rel. 29
- 23.4°, rel. 24
- 17.3°, rel. 24
- 27.3°, rel. 23

***

Entry 5:
Starting from a crystal structure in the Materials Project, relaxed with GGA+U, the powder XRD pattern of Li6FeO5F was computed for CuKα.

Unit cell a=5.4997 b=5.5117 c=5.5687 alpha=62.42 beta=63.74 gamma=62.39
Sites, in units of the cell vectors:
Li 0.0000 0.0000 0.0000
Li 0.0134 0.8412 0.5204
Li 0.2056 0.3955 0.3133
Li 0.4113 0.2200 0.7547
Li 0.5682 0.6277 0.7269
Li 0.7687 0.4084 0.1761
Fe 0.5217 0.9080 0.2132
O 0.1560 0.1308 0.1609
O 0.4077 0.5799 0.4499
O 0.5997 0.2577 0.0430
O 0.7024 0.8112 0.8896
O 0.8450 0.7197 0.3448
F 0.2643 0.0345 0.6406

The 10 most intense peaks (10 to 90 degrees two-theta), most intense first:
- 19.2°, rel. 100
- 19.0°, rel. 94
- 18.8°, rel. 93
- 22.2°, rel. 68
- 22.1°, rel. 62
- 22.6°, rel. 57
- 20.1°, rel. 49
- 36.7°, rel. 46
- 37.4°, rel. 43
- 37.7°, rel. 39

***

Entry 6:
Starting from a crystal structure in the Materials Project, relaxed with GGA+U, the powder XRD pattern of Li2FeO2F was computed for CuKα.

Unit cell a=5.8830 b=4.0996 c=8.8831 alpha=90.00 beta=90.00 gamma=90.00
Sites, in units of the cell vectors:
Li 0.1165 0.2500 0.0814
Li 0.1419 0.2500 0.7529
Li 0.3581 0.7500 0.2529
Li 0.3835 0.7500 0.5814
Li 0.6165 0.2500 0.4186
Li 0.6419 0.2500 0.7471
Li 0.8581 0.7500 0.2471
Li 0.8835 0.7500 0.9186
Fe 0.1051 0.2500 0.3959
Fe 0.3949 0.7500 0.8959
Fe 0.6051 0.2500 0.1041
Fe 0.8949 0.7500 0.6041
O 0.1092 0.7500 0.4218
O 0.1381 0.7500 0.7545
O 0.3619 0.2500 0.2545
O 0.3908 0.2500 0.9218
O 0.6092 0.7500 0.0782
O 0.6381 0.7500 0.7455
O 0.8619 0.2500 0.2455
O 0.8908 0.2500 0.5782
F 0.1263 0.7500 0.0740
F 0.3737 0.2500 0.5740
F 0.6263 0.7500 0.4260
F 0.8737 0.2500 0.9260

The 10 most intense peaks (10 to 90 degrees two-theta), most intense first:
- 43.4°, rel. 100
- 18.1°, rel. 85
- 33.4°, rel. 59
- 44.2°, rel. 53
- 63.6°, rel. 52
- 23.9°, rel. 46
- 28.4°, rel. 45
- 25.1°, rel. 34
- 32.1°, rel. 20
- 56.6°, rel. 17